Starting from a cell relaxed with GGA+U, the powder XRD pattern of Te6MoO6F30 was calculated for Cu Kα (λ = 1.5418 Å).
Kinematic intensities with the Lorentz-polarization factor, no thermal factor.

Most intense lines, 5° ≤ 2θ ≤ 70°, in order of rising 2θ:
d [Å]	I_rel
4.721	51
4.406	42
4.373	41
4.341	40
3.897	50
3.837	100

Unit cell a=9.3599 b=9.3673 c=9.5094 alpha=68.09 beta=63.51 gamma=82.47
Space group P-1 (No. 2)
Symmetry-distinct sites (fractional):
Te (0.0004, 0.2294, 0.2420) (multiplicity 2)
Te (0.3148, 0.7492, 0.0794) (multiplicity 2)
Te (0.3245, 0.2402, 0.6078) (multiplicity 2)
Mo (0.0000, 0.0000, 0.0000) (multiplicity 1)
O (0.0062, 0.1677, 0.0688) (multiplicity 2)
O (0.1266, 0.1274, 0.7697) (multiplicity 2)
O (0.1911, 0.9242, 0.0281) (multiplicity 2)
F (0.0045, 0.7104, 0.5899) (multiplicity 2)
F (0.1023, 0.5921, 0.8278) (multiplicity 2)
F (0.1038, 0.0518, 0.3150) (multiplicity 2)
F (0.1291, 0.6220, 0.2172) (multiplicity 2)
F (0.1981, 0.3343, 0.0964) (multiplicity 2)
F (0.1984, 0.8735, 0.6092) (multiplicity 2)
F (0.2153, 0.4210, 0.5650) (multiplicity 2)
F (0.2995, 0.7907, 0.2628) (multiplicity 2)
F (0.3065, 0.2008, 0.4379) (multiplicity 2)
F (0.3341, 0.7052, 0.8955) (multiplicity 2)
F (0.3469, 0.2826, 0.7745) (multiplicity 2)
F (0.4342, 0.5788, 0.1315) (multiplicity 2)
F (0.4378, 0.0610, 0.6468) (multiplicity 2)
F (0.4832, 0.6495, 0.5499) (multiplicity 2)
F (0.4975, 0.1278, 0.0575) (multiplicity 2)